# 1
Structure and computed powder diffractogram of ScTa3O7 (a PBE-relaxed structure; a wavelength of 1.5418 Å).

Structural model:
Cell: 5.547 5.547 5.547 Å, 100.22 100.22 100.22°
Sites, in units of the cell vectors:
Sc (0.000, 0.000, 0.000)
Ta (0.448, 0.448, 0.778)
Ta (0.448, 0.778, 0.448)
Ta (0.778, 0.448, 0.448)
O (0.171, 0.600, 0.600)
O (0.186, 0.186, 0.801)
O (0.186, 0.801, 0.186)
O (0.600, 0.171, 0.600)
O (0.600, 0.600, 0.171)
O (0.745, 0.745, 0.745)
O (0.801, 0.186, 0.186)

Largest 6 diffraction maxima, by angle, 10 to 90 degrees two-theta:
- 5.331 Å, 16.63°, intensity 100.0
- 3.419 Å, 26.06°, intensity 58.6
- 3.326 Å, 26.80°, intensity 62.6
- 2.621 Å, 34.21°, intensity 41.5
- 2.457 Å, 36.57°, intensity 44.1
- 1.777 Å, 51.42°, intensity 50.9


# 2
Structure and computed powder diffractogram of ScTa2Tl3O9 (a PBE-relaxed structure; a wavelength of 1.5418 Å).

Structural model:
Cell: 5.788 5.788 7.119 Å, 90.00 90.00 120.00°
Sites, in units of the cell vectors:
Sc (0.000, 0.000, 0.000)
Ta (0.333, 0.667, 0.671)
Ta (0.667, 0.333, 0.329)
Tl (0.000, 0.000, 0.500)
Tl (0.333, 0.667, 0.165)
Tl (0.667, 0.333, 0.835)
O (0.000, 0.500, 0.500)
O (0.171, 0.342, 0.824)
O (0.171, 0.829, 0.824)
O (0.342, 0.171, 0.176)
O (0.500, 0.000, 0.500)
O (0.500, 0.500, 0.500)
O (0.658, 0.829, 0.824)
O (0.829, 0.171, 0.176)
O (0.829, 0.658, 0.176)

Largest 6 diffraction maxima, by angle, 10 to 90 degrees two-theta:
- 2.898 Å, 30.85°, intensity 100.0
- 2.049 Å, 44.20°, intensity 27.2
- 1.677 Å, 54.73°, intensity 10.5
- 1.672 Å, 54.92°, intensity 30.8
- 1.297 Å, 72.93°, intensity 9.1
- 1.094 Å, 89.61°, intensity 11.2


# 3
Structure and computed powder diffractogram of ZrScTaO6 (a PBE-relaxed structure; a wavelength of 1.5418 Å).

Structural model:
Cell: 4.853 4.853 9.587 Å, 90.00 90.00 90.00°
Sites, in units of the cell vectors:
Zr (0.000, 0.000, 0.000)
Zr (0.500, 0.500, 0.500)
Sc (0.000, 0.000, 0.333)
Sc (0.500, 0.500, 0.833)
Ta (0.000, 0.000, 0.666)
Ta (0.500, 0.500, 0.166)
O (0.191, 0.191, 0.507)
O (0.191, 0.191, 0.823)
O (0.205, 0.205, 0.164)
O (0.295, 0.705, 0.664)
O (0.309, 0.691, 0.007)
O (0.309, 0.691, 0.323)
O (0.691, 0.309, 0.007)
O (0.691, 0.309, 0.323)
O (0.705, 0.295, 0.664)
O (0.795, 0.795, 0.164)
O (0.809, 0.809, 0.507)
O (0.809, 0.809, 0.823)

Largest 6 diffraction maxima, by angle, 10 to 90 degrees two-theta:
- 4.330 Å, 20.51°, intensity 45.1
- 3.432 Å, 25.96°, intensity 100.0
- 2.669 Å, 33.58°, intensity 75.6
- 2.427 Å, 37.05°, intensity 20.8
- 1.795 Å, 50.85°, intensity 65.8
- 1.443 Å, 64.57°, intensity 20.1